Starting from DFT lattice parameters and positions (GGA-PBE), the powder X-ray diffraction pattern of Li3AgF8 was computed for CuKα.
Kinematic intensities with the Lorentz-polarization factor, no thermal factor.

```
data_Li3AgF8
_cell_length_a 5.4996
_cell_length_b 8.9148
_cell_length_c 6.2424
_cell_angle_alpha 90.00
_cell_angle_beta 90.00
_cell_angle_gamma 90.00
_symmetry_space_group_name_H-M 'C 2 2 2'
_symmetry_Int_Tables_number 21
loop_
_symmetry_equiv_pos_as_xyz
'x,y,z'
'-x,-y,z'
'x,-y,-z'
'-x,y,-z'
'x+1/2,y+1/2,z'
'-x+1/2,-y+1/2,z'
'x+1/2,-y+1/2,-z'
'-x+1/2,y+1/2,-z'
loop_
_atom_site_label
_atom_site_type_symbol
_atom_site_fract_x
_atom_site_fract_y
_atom_site_fract_z
Li1 Li 0.0000 0.0000 0.0000
Li2 Li 0.2500 0.2500 0.7948
Ag1 Ag 0.0000 0.0000 0.5000
F1 F 0.0000 0.2169 0.5000
F2 F 0.0000 0.2201 0.0000
F3 F 0.2437 0.0151 0.7387
```

Main lines, in order of rising 2θ (2θ = 10–90°):
2θ/deg, I/Imax
14.2, 60
19.0, 100
19.9, 29
23.8, 74
24.5, 38
34.5, 39
43.9, 44
61.2, 27

Starting from DFT lattice parameters and positions (GGA-PBE), the powder X-ray diffraction pattern of NdCd2InSn was computed for CuKα.
Kinematic intensities with the Lorentz-polarization factor, no thermal factor.

```
data_NdCd2InSn
_cell_length_a 4.8613
_cell_length_b 15.9985
_cell_length_c 6.5710
_cell_angle_alpha 90.00
_cell_angle_beta 90.00
_cell_angle_gamma 90.00
_symmetry_space_group_name_H-M 'C m c m'
_symmetry_Int_Tables_number 63
_symmetry_space_group_name_Hall '-C 2c 2'
loop_
_atom_site_label
_atom_site_type_symbol
_atom_site_fract_x
_atom_site_fract_y
_atom_site_fract_z
Nd1 Nd 0.0000 0.0889 0.2500
Cd1 Cd 0.0000 0.2995 0.5088
In1 In 0.0000 0.1263 0.7500
Sn1 Sn 0.0000 0.5000 0.0000
```

Main lines, in order of rising 2θ (2θ = 10–90°):
2θ/deg, I/Imax
33.4, 98
33.5, 100
35.4, 43
37.0, 57
43.7, 16
52.1, 28
64.4, 29
66.8, 26

Starting from DFT lattice parameters and positions (GGA-PBE), the powder X-ray diffraction pattern of NdSmTmTh2 was computed for CuKα.
Kinematic intensities with the Lorentz-polarization factor, no thermal factor.

```
data_NdSmTmTh2
_cell_length_a 6.6931
_cell_length_b 15.6781
_cell_length_c 6.7038
_cell_angle_alpha 90.00
_cell_angle_beta 90.00
_cell_angle_gamma 90.00
_symmetry_space_group_name_H-M 'C m c m'
_symmetry_Int_Tables_number 63
_symmetry_space_group_name_Hall '-C 2c 2'
loop_
_atom_site_label
_atom_site_type_symbol
_atom_site_fract_x
_atom_site_fract_y
_atom_site_fract_z
Nd1 Nd 0.0000 0.1525 0.2500
Sm1 Sm 0.0000 0.2556 0.7500
Tm1 Tm 0.0000 0.3495 0.2500
Th1 Th 0.2473 0.5000 0.0000
```

Main lines, in order of rising 2θ (2θ = 10–90°):
2θ/deg, I/Imax
11.3, 16
25.4, 16
29.0, 100
34.3, 39
35.2, 37
38.0, 42
52.1, 30
65.8, 17

Repeat the third record exactly.
Starting from DFT lattice parameters and positions (GGA-PBE), the powder X-ray diffraction pattern of NdSmTmTh2 was computed for CuKα.
Kinematic intensities with the Lorentz-polarization factor, no thermal factor.

```
data_NdSmTmTh2
_cell_length_a 6.6931
_cell_length_b 15.6781
_cell_length_c 6.7038
_cell_angle_alpha 90.00
_cell_angle_beta 90.00
_cell_angle_gamma 90.00
_symmetry_space_group_name_H-M 'C m c m'
_symmetry_Int_Tables_number 63
_symmetry_space_group_name_Hall '-C 2c 2'
loop_
_atom_site_label
_atom_site_type_symbol
_atom_site_fract_x
_atom_site_fract_y
_atom_site_fract_z
Nd1 Nd 0.0000 0.1525 0.2500
Sm1 Sm 0.0000 0.2556 0.7500
Tm1 Tm 0.0000 0.3495 0.2500
Th1 Th 0.2473 0.5000 0.0000
```

Main lines, in order of rising 2θ (2θ = 10–90°):
2θ/deg, I/Imax
11.3, 16
25.4, 16
29.0, 100
34.3, 39
35.2, 37
38.0, 42
52.1, 30
65.8, 17